Entry 1:
Cr3Ge: simulated powder diffraction line list (λ = 1.5418 Å (Cu Kα)), based on a DFT-relaxed cell (GGA-PBE, the Materials Project).
Peak positions follow from Bragg's law for the DFT cell and can differ from measured ones.

Peak list (8 most intense, 10 to 90 degrees two-theta, low angle first)
2theta	d/Å	Rel. int.
27.49	3.244	6
39.27	2.294	48
44.13	2.052	91
48.61	1.873	100
71.19	1.325	3
74.57	1.273	16
77.90	1.226	46
84.45	1.147	15

Cell and atoms:
```
Cr3Ge
1.0
4.588 0.000 0.000
0.000 4.588 0.000
0.000 0.000 4.588
Cr Ge
6 2
Direct
0.000 0.250 0.500
0.000 0.750 0.500
0.250 0.500 0.000
0.500 0.000 0.250
0.500 0.000 0.750
0.750 0.500 0.000
0.000 0.000 0.000
0.500 0.500 0.500
```

=====

Entry 2:
In2CuO4: simulated powder diffraction line list (λ = 1.5418 Å (Cu Kα)), based on a DFT-relaxed cell (GGA-PBE, the Materials Project).
Peak positions follow from Bragg's law for the DFT cell and can differ from measured ones.

Peak list (8 most intense, 10 to 90 degrees two-theta, low angle first)
2theta	d/Å	Rel. int.
24.45	3.640	10
32.96	2.718	32
33.23	2.696	100
46.26	1.963	13
47.30	1.922	27
59.03	1.565	36
59.55	1.552	15
69.77	1.348	9

Cell and atoms:
```
In2CuO4
1.0
-1.922 1.922 5.674
1.922 -1.922 5.674
1.922 1.922 -5.674
In Cu O
2 1 4
Direct
0.153 0.153 0.000
0.847 0.847 0.000
0.500 0.500 0.000
0.000 0.500 0.500
0.250 0.750 0.500
0.500 0.000 0.500
0.750 0.250 0.500
```

=====

Entry 3:
MnCdTe2: simulated powder diffraction line list (λ = 1.5418 Å (Cu Kα)), based on a DFT-relaxed cell (GGA-PBE, the Materials Project).
Peak positions follow from Bragg's law for the DFT cell and can differ from measured ones.

Peak list (8 most intense, 10 to 90 degrees two-theta, low angle first)
2theta	d/Å	Rel. int.
24.89	3.577	100
32.57	2.749	17
40.39	2.233	23
41.63	2.170	45
48.03	1.894	23
50.18	1.818	14
66.29	1.410	9
74.29	1.277	8

Cell and atoms:
```
MnCdTe2
1.0
-3.158 3.158 5.971
3.158 -3.158 5.971
3.158 3.158 -5.971
Mn Cd Te
2 2 4
Direct
0.000 0.000 0.000
0.750 0.250 0.500
0.250 0.750 0.500
0.500 0.500 0.000
0.068 0.125 0.443
0.375 0.932 0.057
0.682 0.625 0.557
0.875 0.318 0.943
```

=====

Entry 4:
Tb2Ti2S2O5: simulated powder diffraction line list (λ = 1.5418 Å (Cu Kα)), based on a DFT-relaxed cell (GGA-PBE, the Materials Project).
Peak positions follow from Bragg's law for the DFT cell and can differ from measured ones.

Peak list (8 most intense, 10 to 90 degrees two-theta, low angle first)
2theta	d/Å	Rel. int.
15.37	5.763	45
26.13	3.410	100
33.30	2.691	58
36.07	2.490	44
40.95	2.204	33
42.55	2.125	38
47.81	1.903	34
55.29	1.661	26

Cell and atoms:
```
Tb2Ti2S2O5
1.0
-1.903 1.903 11.526
1.903 -1.903 11.526
1.903 1.903 -11.526
Tb Ti S O
2 2 2 5
Direct
0.167 0.167 0.000
0.833 0.833 0.000
0.421 0.421 0.000
0.579 0.579 0.000
0.295 0.295 0.000
0.705 0.705 0.000
0.099 0.599 0.500
0.401 0.901 0.500
0.500 0.500 0.000
0.599 0.099 0.500
0.901 0.401 0.500
```

=====

Entry 5:
ErI3O11: simulated powder diffraction line list (λ = 1.5418 Å (Cu Kα)), based on a DFT-relaxed cell (GGA-PBE, the Materials Project).
Peak positions follow from Bragg's law for the DFT cell and can differ from measured ones.

Peak list (8 most intense, 10 to 90 degrees two-theta, low angle first)
2theta	d/Å	Rel. int.
12.81	6.909	78
15.02	5.898	88
23.70	3.754	64
24.12	3.690	85
25.75	3.460	100
26.12	3.412	60
27.27	3.270	63
28.60	3.121	53

Cell and atoms:
```
ErI3O11
1.0
6.994 0.000 0.000
-2.681 7.031 0.000
-2.915 -1.908 10.084
Er I O
2 6 22
Direct
0.102 0.425 0.290
0.898 0.575 0.710
0.264 0.727 0.043
0.276 0.359 0.660
0.320 0.857 0.576
0.680 0.143 0.424
0.724 0.641 0.340
0.736 0.273 0.957
0.066 0.625 0.131
0.091 0.796 0.908
0.098 0.846 0.640
0.140 0.722 0.408
0.223 0.168 0.279
0.236 0.560 0.745
0.262 0.222 0.889
0.293 0.467 0.512
0.379 0.102 0.536
0.430 0.545 0.249
0.444 0.959 0.151
0.556 0.041 0.849
0.570 0.455 0.751
0.621 0.898 0.464
0.707 0.533 0.488
0.738 0.778 0.111
0.764 0.440 0.255
0.777 0.832 0.721
0.860 0.278 0.592
0.902 0.154 0.360
0.909 0.204 0.092
0.934 0.375 0.869
```